Structure and computed powder diffraction line list of ScNbPd14 (a DFT-relaxed cell (GGA-PBE, Alexandria); λ = 1.5418 Å (Cu Kα)).
Neutral-atom scattering factors, no anomalous dispersion.

Structure:
abc: 5.6365 5.6365 7.8860
angles: 90.00 90.00 90.00
Element x y z (fractional)
Sc1 0.0000 0.0000 0.0000
Nb1 0.5000 0.5000 0.0000
Pd1 0.0000 0.0000 0.5000
Pd2 0.0000 0.5000 0.0000
Pd3 0.0000 0.5000 0.5000
Pd4 0.2523 0.2523 0.2464
Pd5 0.2523 0.2523 0.7536
Pd6 0.2523 0.7477 0.2464
Pd7 0.2523 0.7477 0.7536
Pd8 0.5000 0.0000 0.0000
Pd9 0.5000 0.0000 0.5000
Pd10 0.5000 0.5000 0.5000
Pd11 0.7477 0.2523 0.2464
Pd12 0.7477 0.2523 0.7536
Pd13 0.7477 0.7477 0.2464
Pd14 0.7477 0.7477 0.7536

Principal peaks in the range 5° ≤ 2θ ≤ 70°, by intensity:
2theta, intensity
39.30, 100
45.52, 33
66.74, 20
46.04, 16
66.34, 10
15.72, 1
25.03, 1
19.36, 1
11.22, 1
33.77, 1